Simulated powder diffractogram
Compound: Na4Pu2Br9
Radiation: CuKα
Structure: DFT lattice parameters and positions (PBE)
Lines closer than 0.1° are merged.

Cell and atoms:
a b c (Å): 7.520 7.522 20.554
angles (deg): 89.96 89.97 60.06
Sites, in units of the cell vectors:
Na: 0.166 0.166 0.487
Na: 0.166 0.167 0.677
Na: 0.167 0.166 0.986
Na: 0.168 0.166 0.178
Na: 0.832 0.834 0.822
Na: 0.833 0.834 0.014
Na: 0.834 0.833 0.323
Na: 0.834 0.834 0.513
Pu: 0.499 0.502 0.651
Pu: 0.500 0.499 0.850
Pu: 0.500 0.501 0.150
Pu: 0.501 0.498 0.349
Br: 0.145 0.524 0.915
Br: 0.147 0.830 0.415
Br: 0.168 0.478 0.585
Br: 0.170 0.855 0.085
Br: 0.204 0.500 0.250
Br: 0.204 0.797 0.750
Br: 0.476 0.171 0.085
Br: 0.476 0.855 0.584
Br: 0.498 0.204 0.750
Br: 0.502 0.796 0.250
Br: 0.524 0.145 0.416
Br: 0.524 0.829 0.915
Br: 0.796 0.203 0.250
Br: 0.796 0.500 0.750
Br: 0.830 0.145 0.915
Br: 0.832 0.522 0.415
Br: 0.853 0.170 0.585
Br: 0.855 0.476 0.085

Most intense lines, 10° ≤ 2θ ≤ 90°, in order of falling intensity:
2θ/deg, d_spacing, I_rel, (hkl)
13.59, 6.515, 100, 1 1 0
27.04, 3.297, 87, 2 1 3
35.44, 2.533, 75, 1 2 6
41.58, 2.172, 53, 3 3 0
22.03, 4.035, 43, 1 1 -4
29.44, 3.034, 37, 1 2 -4
16.11, 5.503, 33, 1 1 2
32.54, 2.751, 31, 0 2 -4
40.63, 2.221, 29, 2 -1 4
45.35, 2.000, 22, 3 3 -4